This entry pairs a crystal structure of Ce4InP3Rh12 with its simulated powder diffractogram. Radiation: a wavelength of 1.5418 Å. Structure: the GGA-PBE geometry in Alexandria.
Lines closer than 0.1° are merged.

Top 10 peaks for 10 to 80 degrees two-theta, in order of rising 2θ:
2θ (°)  I_rel  h k l
27.6  13  2 2 0
33.9  100  2 2 2
36.8  4  3 2 1
39.4  78  4 0 0
48.8  5  4 2 2
56.9  51  4 4 0
64.4  3  6 2 0
68.0  37  6 2 2
71.4  17  4 4 4
78.2  3  6 4 2

```
data_Ce4InP3Rh12
_space_group_name_H-M_alt 'I m -3 m'
_space_group_IT_number 229
_space_group_name_Hall '-I 4 2 3'
_cell_length_a 9.147
_cell_length_b 9.147
_cell_length_c 9.147
_cell_angle_alpha 90.00
_cell_angle_beta 90.00
_cell_angle_gamma 90.00
loop_
_atom_site_label
_atom_site_type_symbol
_atom_site_fract_x
_atom_site_fract_y
_atom_site_fract_z
Ce1 Ce 0.250 0.250 0.250
In1 In 0.000 0.000 0.000
P1 P 0.000 0.000 0.500
Rh1 Rh 0.000 0.000 0.269
Rh2 Rh 0.000 0.250 0.500
```